Starting from the GGA-PBE geometry in Alexandria, the PXRD pattern of Nb4Pb3O13 was calculated for Cu Kα (weighted mean of Kα1 and Kα2).
Peak positions follow from Bragg's law for the DFT cell and can differ from measured ones.

Principal peaks in the range 15 to 90 degrees two-theta, by angle:
h k l	d (Å)	2θ/deg	I_rel
0 0 3	3.576	24.90	11.6
2 0 2	3.097	28.83	100.0
2 2 0	2.682	33.41	36.4
3 0 1	2.461	36.51	7.4
4 0 0	1.897	47.96	35.1
2 4 2	1.617	56.94	43.4
0 4 4	1.548	59.72	12.1
6 0 2	1.231	77.53	8.7
0 6 2	1.230	77.64	8.5
6 2 0	1.200	79.98	12.8

a b c (Å): 7.5939 7.5773 10.7272
angles (deg): 90.00 90.00 90.00
Positions (direct):
Nb  0.0000  0.0000  0.0000
Nb  0.0000  0.5000  0.5000
Nb  0.2500  0.2485  0.2528
Nb  0.2500  0.7515  0.2528
Nb  0.5000  0.0000  0.0000
Nb  0.5000  0.5000  0.5000
Nb  0.7500  0.2485  0.7472
Nb  0.7500  0.7515  0.7472
Pb  0.0000  0.5000  0.0000
Pb  0.2500  0.2499  0.7367
Pb  0.2500  0.7501  0.7367
Pb  0.5000  0.5000  0.0000
Pb  0.7500  0.2499  0.2633
Pb  0.7500  0.7501  0.2633
O  0.0572  0.1911  0.1249
O  0.0572  0.8089  0.1249
O  0.0612  0.3169  0.3726
O  0.0612  0.6831  0.3726
O  0.2500  0.0000  0.3004
O  0.2500  0.0000  0.9376
O  0.2500  0.5000  0.1786
O  0.2500  0.5000  0.5654
O  0.2500  0.5000  0.8467
O  0.4388  0.3169  0.3726
O  0.4388  0.6831  0.3726
O  0.4428  0.1911  0.1249
O  0.4428  0.8089  0.1249
O  0.5572  0.1911  0.8751
O  0.5572  0.8089  0.8751
O  0.5612  0.3169  0.6274
O  0.5612  0.6831  0.6274
O  0.7500  0.0000  0.0624
O  0.7500  0.0000  0.6996
O  0.7500  0.5000  0.1533
O  0.7500  0.5000  0.4346
O  0.7500  0.5000  0.8214
O  0.9388  0.3169  0.6274
O  0.9388  0.6831  0.6274
O  0.9428  0.1911  0.8751
O  0.9428  0.8089  0.8751